This entry pairs a crystal structure of Li2SnP2O7 with its calculated X-ray powder pattern. Radiation: λ = 1.5418 Å (Cu Kα). Structure: a crystal structure in the Materials Project, relaxed with GGA-PBE.
Peak positions follow from Bragg's law for the DFT cell and can differ from measured ones.

Peak list (10 most intense, 10° ≤ 2θ ≤ 90°, by angle)
- 13.34°, rel. 55, (1 0 -2)
- 21.55°, rel. 100, (0 1 2)
- 21.96°, rel. 70, (2 0 0)
- 27.37°, rel. 32, (2 1 -2)
- 29.52°, rel. 54, (1 1 -4)
- 34.19°, rel. 22, (2 1 2)
- 35.23°, rel. 19, (0 2 0)
- 35.83°, rel. 34, (1 0 -6)
- 38.18°, rel. 19, (3 1 -4)
- 41.90°, rel. 17, (2 2 0)

Cell and atoms:
abc: 8.6942 5.0944 15.0875
angles: 90.00 111.36 90.00
Positions (direct):
Li1 0.0048 0.2493 0.1788
Li2 0.0048 0.2507 0.6788
Li3 0.4124 0.2322 0.6746
Li4 0.4124 0.2678 0.1746
Li5 0.5876 0.7322 0.8254
Li6 0.5876 0.7678 0.3254
Li7 0.9952 0.7493 0.3212
Li8 0.9952 0.7507 0.8212
Sn1 0.2853 0.2246 0.3849
Sn2 0.2853 0.2754 0.8849
Sn3 0.7147 0.7246 0.1151
Sn4 0.7147 0.7754 0.6151
P1 0.2127 0.7414 0.2017
P2 0.2127 0.7586 0.7017
P3 0.2993 0.7218 0.5345
P4 0.2993 0.7782 0.0345
P5 0.7007 0.2218 0.9655
P6 0.7007 0.2782 0.4655
P7 0.7873 0.2414 0.2983
P8 0.7873 0.2586 0.7983
O1 0.0633 0.6177 0.2161
O2 0.0633 0.8823 0.7161
O3 0.1711 0.7042 0.0867
O4 0.1711 0.7958 0.5867
O5 0.2099 0.6953 0.9297
O6 0.2099 0.8047 0.4297
O7 0.2236 0.0412 0.2195
O8 0.2236 0.4588 0.7195
O9 0.3350 0.0722 0.0463
O10 0.3350 0.4278 0.5463
O11 0.3741 0.5956 0.2539
O12 0.3741 0.9044 0.7539
O13 0.4533 0.6049 0.0824
O14 0.4533 0.8951 0.5824
O15 0.5467 0.1049 0.4176
O16 0.5467 0.3951 0.9176
O17 0.6259 0.0956 0.2461
O18 0.6259 0.4044 0.7461
O19 0.6650 0.5722 0.4537
O20 0.6650 0.9278 0.9537
O21 0.7764 0.5412 0.2805
O22 0.7764 0.9588 0.7805
O23 0.7901 0.1953 0.5703
O24 0.7901 0.3047 0.0703
O25 0.8289 0.2042 0.4133
O26 0.8289 0.2958 0.9133
O27 0.9367 0.1177 0.2839
O28 0.9367 0.3823 0.7839